No. 1
Diffraction record for KAgHBr3. The powder diffractogram is calculated, not measured: it uses a DFT-relaxed cell (GGA-PBE, Alexandria) and Cu Kα.

Peak list (10 most intense, 2θ = 15–90°, by angle)
index, 2theta, I (rel.)
2 0 0, 16.88, 194
2 2 -1, 26.03, 331
2 2 0, 26.55, 1000
4 0 -1, 31.32, 240
0 0 3, 33.61, 239
4 0 0, 34.15, 164
2 2 -3, 37.31, 306
0 4 0, 41.37, 192
2 2 3, 48.74, 157
6 2 -1, 53.20, 154

Cell and atoms:
```
data_KAgHBr3
_chemical_formula_sum 'K4 Ag4 H4 Br12'
_space_group_name_H-M_alt 'C 1 2/m 1'
_space_group_IT_number 12
_cell_length_a 11.4572
_cell_length_b 8.7320
_cell_length_c 8.7263
_cell_angle_alpha 90.00
_cell_angle_beta 113.55
_cell_angle_gamma 90.00
loop_
_space_group_symop_operation_xyz
'x,y,z'
'-x,-y,-z'
'-x,y,-z'
'x,-y,z'
'x+1/2,y+1/2,z'
'-x+1/2,-y+1/2,-z'
'-x+1/2,y+1/2,-z'
'x+1/2,-y+1/2,z'
loop_
_atom_site_label
_atom_site_type_symbol
_atom_site_fract_x
_atom_site_fract_y
_atom_site_fract_z
K1 K 0.2156 0.0000 0.1045
Ag1 Ag 0.0000 0.2139 0.5000
H1 H 0.1203 0.5000 0.3409
Br1 Br 0.0455 0.2469 0.8050
Br2 Br 0.2479 0.5000 0.4727
```



No. 2
Diffraction record for Cs2AuF4. The powder diffractogram is calculated, not measured: it uses a DFT-relaxed cell (GGA-PBE, Alexandria) and Cu Kα.

Peak list (10 most intense, 2θ = 15–90°, by angle)
index, 2theta, I (rel.)
1 0 1, 25.76, 285
2 0 0, 26.05, 444
1 1 1, 28.93, 1000
2 1 0, 29.18, 154
2 1 1, 36.96, 169
2 2 0, 37.17, 333
3 1 1, 47.77, 479
2 0 2, 52.95, 135
2 2 2, 59.93, 159
5 1 1, 74.58, 140

Cell and atoms:
```
data_Cs2AuF4
_chemical_formula_sum 'Cs2 Au1 F4'
_space_group_name_H-M_alt 'P 4/m m m'
_space_group_IT_number 123
_space_group_name_Hall '-P 4 2'
_cell_length_a 6.8423
_cell_length_b 6.8423
_cell_length_c 4.0086
_cell_angle_alpha 90.00
_cell_angle_beta 90.00
_cell_angle_gamma 90.00
loop_
_atom_site_label
_atom_site_type_symbol
_atom_site_fract_x
_atom_site_fract_y
_atom_site_fract_z
Cs1 Cs 0.0000 0.5000 0.0000
Au1 Au 0.0000 0.0000 0.5000
F1 F 0.2198 0.2198 0.5000
```



No. 3
Diffraction record for Nd4Ga12Re. The powder diffractogram is calculated, not measured: it uses a DFT-relaxed cell (GGA-PBE, Alexandria) and Cu Kα.

Peak list (10 most intense, 2θ = 15–90°, by angle)
index, 2theta, I (rel.)
2 2 0, 28.67, 439
3 1 0, 32.14, 158
2 2 2, 35.30, 1000
3 2 1, 38.24, 229
4 0 0, 40.99, 822
3 3 2, 48.48, 133
4 2 2, 50.79, 138
4 4 0, 59.36, 497
6 2 2, 70.99, 303
4 4 4, 74.67, 152

Cell and atoms:
```
data_Nd4Ga12Re
_chemical_formula_sum 'Nd8 Ga24 Re2'
_space_group_name_H-M_alt 'I m -3 m'
_space_group_IT_number 229
_space_group_name_Hall '-I 4 2 3'
_cell_length_a 8.8067
_cell_length_b 8.8067
_cell_length_c 8.8067
_cell_angle_alpha 90.00
_cell_angle_beta 90.00
_cell_angle_gamma 90.00
loop_
_atom_site_label
_atom_site_type_symbol
_atom_site_fract_x
_atom_site_fract_y
_atom_site_fract_z
Nd1 Nd 0.2500 0.2500 0.2500
Ga1 Ga 0.0000 0.0000 0.2903
Ga2 Ga 0.0000 0.2500 0.5000
Re1 Re 0.0000 0.0000 0.0000
```